Structure and computed X-ray powder pattern of YbHoPd2 (a structure optimized by DFT (GGA-PBE); copper Kα).
Peak positions follow from Bragg's law for the DFT cell and can differ from measured ones.

Top 9 peaks for 10° ≤ 2θ ≤ 90°, sorted by position:
- d = 3.487 Å, 25.54°, I 5, (2 0 0)
- d = 2.466 Å, 36.44°, I 100, (2 2 0)
- d = 2.013 Å, 45.03°, I 2, (2 2 2)
- d = 1.744 Å, 52.48°, I 18, (4 0 0)
- d = 1.560 Å, 59.25°, I 2, (4 2 0)
- d = 1.424 Å, 65.57°, I 36, (4 2 2)
- d = 1.233 Å, 77.40°, I 11, (4 4 0)
- d = 1.162 Å, 83.09°, I 1, (6 0 0)
- d = 1.103 Å, 88.70°, I 16, (6 2 0)

Unit cell a=6.975 b=6.975 c=6.975 alpha=90.00 beta=90.00 gamma=90.00
Space group Fm-3m (No. 225)
Asymmetric unit:
Yb 0.000 0.000 0.000
Ho 0.000 0.000 0.500
Pd 0.250 0.250 0.250